This entry pairs a crystal structure of PmHoTh2Sb5 with its calculated XRD peak list. Radiation: Cu Kα, 1.54184 Å. Structure: the GGA-PBE geometry in Alexandria.

Structural model:
Unit cell a=5.2453 b=5.2453 c=11.5875 alpha=90.00 beta=90.00 gamma=90.00
Space group P4/mmm (No. 123)
Asymmetric unit:
1 Pm 0.0000 0.0000 0.0000 [1 per cell]
2 Ho 0.0000 0.0000 0.5000 [1 per cell]
3 Th 0.5000 0.5000 0.3011 [2 per cell]
4 Sb 0.0000 0.0000 0.2508 [2 per cell]
5 Sb 0.0000 0.5000 0.5000 [2 per cell]
6 Sb 0.5000 0.5000 0.0000 [1 per cell]

Principal peaks in the range 5 to 70 degrees two-theta, sorted by position:
- 7.6 deg, rel. 63, hkl 0 0 1
- 22.9 deg, rel. 26, hkl 1 0 2
- 24.0 deg, rel. 100, hkl 1 1 0
- 28.6 deg, rel. 28, hkl 1 1 2
- 28.7 deg, rel. 41, hkl 1 0 3
- 30.9 deg, rel. 38, hkl 0 0 4
- 33.5 deg, rel. 58, hkl 1 1 3
- 34.2 deg, rel. 98, hkl 2 0 0
- 45.2 deg, rel. 24, hkl 2 1 3
- 46.7 deg, rel. 48, hkl 2 0 4
- 49.1 deg, rel. 35, hkl 2 2 0
- 59.2 deg, rel. 23, hkl 2 2 4


This entry pairs a crystal structure of CsHg11Au5 with its calculated XRD peak list. Radiation: Cu Kα, 1.54184 Å. Structure: the GGA-PBE geometry in Alexandria.

Structural model:
Unit cell a=8.7720 b=11.3641 c=9.8880 alpha=90.00 beta=107.89 gamma=90.00
Space group C2/m (No. 12)
Asymmetric unit:
1 Cs 0.0000 0.0000 0.0000 [2 per cell]
2 Hg 0.0000 0.0000 0.5000 [2 per cell]
3 Hg 0.1055 0.5000 0.4183 [4 per cell]
4 Hg 0.1261 0.3213 0.8676 [8 per cell]
5 Hg 0.1417 0.1819 0.3638 [8 per cell]
6 Au 0.0000 0.5000 0.0000 [2 per cell]
7 Au 0.2408 0.3762 0.2220 [8 per cell]

Principal peaks in the range 5 to 70 degrees two-theta, sorted by position:
- 14.2 deg, rel. 49, hkl 1 1 -1
- 24.6 deg, rel. 28, hkl 0 2 2
- 28.5 deg, rel. 44, hkl 2 2 -2
- 28.7 deg, rel. 36, hkl 1 3 1
- 32.8 deg, rel. 100, hkl 2 0 2
- 36.2 deg, rel. 93, hkl 1 3 -3
- 36.9 deg, rel. 27, hkl 3 1 -3
- 37.0 deg, rel. 32, hkl 0 4 2
- 38.3 deg, rel. 29, hkl 2 4 0
- 38.9 deg, rel. 85, hkl 3 3 -1
- 43.1 deg, rel. 28, hkl 1 5 1
- 64.5 deg, rel. 26, hkl 5 3 1


This entry pairs a crystal structure of AcPuPbO6 with its calculated XRD peak list. Radiation: Cu Kα, 1.54184 Å. Structure: the GGA-PBE geometry in Alexandria.

Structural model:
Unit cell a=6.2274 b=6.2274 c=9.3802 alpha=90.00 beta=90.00 gamma=120.00
Space group P-31c (No. 163)
Asymmetric unit:
1 Ac 0.3333 0.6667 0.2500 [2 per cell]
2 Pu 0.3333 0.6667 0.7500 [2 per cell]
3 Pb 0.0000 0.0000 0.0000 [2 per cell]
4 O 0.0573 0.3928 0.6351 [12 per cell]

Principal peaks in the range 5 to 70 degrees two-theta, sorted by position:
- 18.9 deg, rel. 13, hkl 0 0 2
- 25.2 deg, rel. 100, hkl 1 0 2
- 28.7 deg, rel. 73, hkl 1 1 0
- 34.6 deg, rel. 16, hkl 1 1 2
- 38.4 deg, rel. 10, hkl 0 0 4
- 38.5 deg, rel. 33, hkl 2 0 2
- 48.6 deg, rel. 45, hkl 1 1 4
- 48.7 deg, rel. 35, hkl 2 1 2
- 50.8 deg, rel. 21, hkl 3 0 0
- 59.4 deg, rel. 10, hkl 2 2 0
- 61.8 deg, rel. 9, hkl 1 0 6
- 65.5 deg, rel. 30, hkl 3 0 4


This entry pairs a crystal structure of Cu6SbO8 with its calculated XRD peak list. Radiation: Cu Kα, 1.54184 Å. Structure: the GGA-PBE geometry in Alexandria.

Structural model:
Unit cell a=9.2639 b=9.2639 c=9.2639 alpha=90.00 beta=90.00 gamma=90.00
Space group Fm-3m (No. 225)
Asymmetric unit:
1 Cu 0.0000 0.2500 0.2500 [24 per cell]
2 Sb 0.0000 0.0000 0.0000 [4 per cell]
3 O 0.1383 0.1383 0.1383 [32 per cell]

Principal peaks in the range 5 to 70 degrees two-theta, sorted by position:
- 16.6 deg, rel. 51, hkl 1 1 1
- 19.2 deg, rel. 2, hkl 2 0 0
- 32.0 deg, rel. 6, hkl 3 1 1
- 33.5 deg, rel. 100, hkl 2 2 2
- 38.9 deg, rel. 30, hkl 4 0 0
- 42.5 deg, rel. 17, hkl 3 3 1
- 51.2 deg, rel. 4, hkl 5 1 1
- 56.2 deg, rel. 45, hkl 4 4 0
- 59.0 deg, rel. 8, hkl 5 3 1
- 66.1 deg, rel. 1, hkl 5 3 3
- 67.0 deg, rel. 36, hkl 6 2 2


This entry pairs a crystal structure of Ho6GaTe3 with its calculated XRD peak list. Radiation: Cu Kα, 1.54184 Å. Structure: the GGA-PBE geometry in Alexandria.

Structural model:
Unit cell a=11.9984 b=3.9983 c=12.5170 alpha=90.00 beta=104.07 gamma=90.00
Space group P2_1/m (No. 11)
Asymmetric unit:
1 Ho 0.0117 0.2500 0.3526 [2 per cell]
2 Ho 0.0827 0.2500 0.8854 [2 per cell]
3 Ho 0.2609 0.7500 0.3003 [2 per cell]
4 Ho 0.2910 0.7500 0.7579 [2 per cell]
5 Ho 0.3931 0.2500 0.5428 [2 per cell]
6 Ho 0.4479 0.7500 0.1325 [2 per cell]
7 Ga 0.4580 0.2500 0.3136 [2 per cell]
8 Te 0.1142 0.2500 0.1414 [2 per cell]
9 Te 0.1750 0.7500 0.5107 [2 per cell]
10 Te 0.3402 0.2500 0.9523 [2 per cell]

Principal peaks in the range 5 to 70 degrees two-theta, sorted by position:
- 25.2 deg, rel. 41, hkl 1 1 1
- 26.7 deg, rel. 52, hkl 1 1 -2
- 29.0 deg, rel. 37, hkl 2 1 1
- 29.7 deg, rel. 66, hkl 2 0 -4
- 30.7 deg, rel. 64, hkl 4 0 -2
- 32.2 deg, rel. 77, hkl 3 1 0
- 32.7 deg, rel. 100, hkl 2 1 2
- 37.4 deg, rel. 78, hkl 2 1 -4
- 38.2 deg, rel. 29, hkl 4 1 -2
- 40.4 deg, rel. 26, hkl 4 1 -3
- 45.4 deg, rel. 54, hkl 0 2 0
- 55.2 deg, rel. 26, hkl 2 2 -4


This entry pairs a crystal structure of Ce4Bi8Ru3 with its calculated XRD peak list. Radiation: Cu Kα, 1.54184 Å. Structure: the GGA-PBE geometry in Alexandria.

Structural model:
Unit cell a=4.6162 b=4.6162 c=18.9887 alpha=90.00 beta=90.00 gamma=90.00
Space group P-4m2 (No. 115)
Asymmetric unit:
1 Ce 0.0000 0.5000 0.1067 [2 per cell]
2 Ce 0.0000 0.5000 0.6101 [2 per cell]
3 Bi 0.0000 0.0000 0.2467 [2 per cell]
4 Bi 0.0000 0.5000 0.4156 [2 per cell]
5 Bi 0.0000 0.5000 0.9239 [2 per cell]
6 Bi 0.5000 0.5000 0.2460 [2 per cell]
7 Ru 0.0000 0.0000 0.0000 [1 per cell]
8 Ru 0.0000 0.0000 0.5000 [1 per cell]
9 Ru 0.5000 0.5000 0.5000 [1 per cell]

Principal peaks in the range 5 to 70 degrees two-theta, sorted by position:
- 26.9 deg, rel. 12, hkl 1 0 4
- 28.2 deg, rel. 26, hkl 0 0 6
- 28.9 deg, rel. 41, hkl 1 1 2
- 33.3 deg, rel. 100, hkl 1 1 4
- 39.0 deg, rel. 52, hkl 2 0 0
- 47.4 deg, rel. 15, hkl 1 1 8
- 48.8 deg, rel. 24, hkl 2 0 6
- 56.0 deg, rel. 9, hkl 1 1 10
- 56.4 deg, rel. 18, hkl 2 2 0
- 64.2 deg, rel. 11, hkl 2 2 6
- 64.6 deg, rel. 9, hkl 3 1 2
- 67.1 deg, rel. 27, hkl 3 1 4


This entry pairs a crystal structure of Tb5TlSn2 with its calculated XRD peak list. Radiation: Cu Kα, 1.54184 Å. Structure: the GGA-PBE geometry in Alexandria.

Structural model:
Unit cell a=6.8870 b=6.8870 c=9.3586 alpha=90.00 beta=90.00 gamma=90.00
Space group I4/mmm (No. 139)
Asymmetric unit:
1 Tb 0.0000 0.0000 0.0000 [2 per cell]
2 Tb 0.2500 0.2500 0.2500 [8 per cell]
3 Tl 0.0000 0.0000 0.5000 [2 per cell]
4 Sn 0.0000 0.5000 0.0000 [4 per cell]

Principal peaks in the range 5 to 70 degrees two-theta, sorted by position:
- 16.0 deg, rel. 1, hkl 1 0 1
- 18.2 deg, rel. 2, hkl 1 1 0
- 26.4 deg, rel. 1, hkl 1 1 2
- 32.3 deg, rel. 100, hkl 2 0 2
- 36.9 deg, rel. 35, hkl 2 2 0
- 38.5 deg, rel. 16, hkl 0 0 4
- 46.0 deg, rel. 1, hkl 3 1 2
- 53.2 deg, rel. 12, hkl 4 0 0
- 54.4 deg, rel. 23, hkl 2 2 4
- 63.6 deg, rel. 29, hkl 4 2 2
- 65.7 deg, rel. 13, hkl 2 0 6
- 67.5 deg, rel. 12, hkl 4 0 4


This entry pairs a crystal structure of PmPr6Tm2Sc with its calculated XRD peak list. Radiation: Cu Kα, 1.54184 Å. Structure: the GGA-PBE geometry in Alexandria.

Structural model:
Unit cell a=10.2873 b=7.6144 c=8.9955 alpha=90.00 beta=101.67 gamma=90.00
Space group C2/m (No. 12)
Asymmetric unit:
1 Pm 0.0000 0.0000 0.0000 [2 per cell]
2 Pr 0.1298 0.2839 0.7824 [8 per cell]
3 Pr 0.1601 0.0000 0.4474 [4 per cell]
4 Tm 0.1317 0.5000 0.1363 [4 per cell]
5 Sc 0.0000 0.5000 0.5000 [2 per cell]

Principal peaks in the range 5 to 70 degrees two-theta, sorted by position:
- 26.4 deg, rel. 59, hkl 1 1 2
- 29.0 deg, rel. 34, hkl 3 1 -1
- 29.9 deg, rel. 100, hkl 2 2 -1
- 31.0 deg, rel. 59, hkl 0 2 2
- 32.0 deg, rel. 44, hkl 2 0 -3
- 32.3 deg, rel. 23, hkl 3 1 -2
- 32.3 deg, rel. 30, hkl 2 2 1
- 32.6 deg, rel. 38, hkl 3 1 1
- 35.6 deg, rel. 22, hkl 4 0 0
- 47.3 deg, rel. 29, hkl 3 3 1
- 47.8 deg, rel. 22, hkl 0 4 0
- 55.1 deg, rel. 24, hkl 4 2 -4


What is the formula in the first record? PmHoTh2Sb5


Repeat the second record exactly.
This entry pairs a crystal structure of CsHg11Au5 with its calculated XRD peak list. Radiation: Cu Kα, 1.54184 Å. Structure: the GGA-PBE geometry in Alexandria.

Structural model:
Unit cell a=8.7720 b=11.3641 c=9.8880 alpha=90.00 beta=107.89 gamma=90.00
Space group C2/m (No. 12)
Asymmetric unit:
1 Cs 0.0000 0.0000 0.0000 [2 per cell]
2 Hg 0.0000 0.0000 0.5000 [2 per cell]
3 Hg 0.1055 0.5000 0.4183 [4 per cell]
4 Hg 0.1261 0.3213 0.8676 [8 per cell]
5 Hg 0.1417 0.1819 0.3638 [8 per cell]
6 Au 0.0000 0.5000 0.0000 [2 per cell]
7 Au 0.2408 0.3762 0.2220 [8 per cell]

Principal peaks in the range 5 to 70 degrees two-theta, sorted by position:
- 14.2 deg, rel. 49, hkl 1 1 -1
- 24.6 deg, rel. 28, hkl 0 2 2
- 28.5 deg, rel. 44, hkl 2 2 -2
- 28.7 deg, rel. 36, hkl 1 3 1
- 32.8 deg, rel. 100, hkl 2 0 2
- 36.2 deg, rel. 93, hkl 1 3 -3
- 36.9 deg, rel. 27, hkl 3 1 -3
- 37.0 deg, rel. 32, hkl 0 4 2
- 38.3 deg, rel. 29, hkl 2 4 0
- 38.9 deg, rel. 85, hkl 3 3 -1
- 43.1 deg, rel. 28, hkl 1 5 1
- 64.5 deg, rel. 26, hkl 5 3 1